The following is a simulated powder diffraction line list of HoScCu10. It was derived from a DFT-relaxed cell (GGA-PBE, Alexandria), using Cu Kα, 1.54184 Å.
Lines closer than 0.1° are merged.

Crystal structure
a = 4.101 Å, b = 4.966 Å, c = 8.549 Å
α = 90.00°, β = 90.00°, γ = 90.00°
Element x y z (fractional)
Ho (0.000, 0.000, 0.000)
Sc (0.000, 0.500, 0.500)
Cu (0.000, 0.000, 0.339)
Cu (0.000, 0.000, 0.661)
Cu (0.000, 0.500, 0.173)
Cu (0.000, 0.500, 0.827)
Cu (0.500, 0.000, 0.500)
Cu (0.500, 0.251, 0.253)
Cu (0.500, 0.251, 0.747)
Cu (0.500, 0.500, 0.000)
Cu (0.500, 0.749, 0.253)
Cu (0.500, 0.749, 0.747)

Principal peaks in the range 10 to 90 degrees two-theta, most intense first:
- 2θ 42.71, d = 2.117 Å, intensity 100
- 2θ 42.56, d = 2.124 Å, intensity 51
- 2θ 44.17, d = 2.051 Å, intensity 47
- 2θ 30.15, d = 2.964 Å, intensity 44
- 2θ 42.09, d = 2.147 Å, intensity 32
- 2θ 36.35, d = 2.472 Å, intensity 24
- 2θ 69.57, d = 1.351 Å, intensity 22
- 2θ 47.82, d = 1.902 Å, intensity 22
- 2θ 10.35, d = 8.549 Å, intensity 19
- 2θ 62.65, d = 1.483 Å, intensity 18